The following is a theoretical powder diffraction line list of Nd2Tm2Sn3. It was derived from the PBE geometry in Alexandria, using CuKα.
Neutral-atom scattering factors, no anomalous dispersion.

Cell and atoms:
```
data_Nd2Tm2Sn3
_symmetry_space_group_name_H-M 'P -1'
_symmetry_Int_Tables_number 2
_cell_length_a 4.9660
_cell_length_b 5.9679
_cell_length_c 8.6237
_cell_angle_alpha 97.89
_cell_angle_beta 90.07
_cell_angle_gamma 114.57
loop_
_symmetry_equiv_pos_as_xyz
'x,y,z'
'-x,-y,-z'
loop_
_atom_site_label
_atom_site_type_symbol
_atom_site_fract_x
_atom_site_fract_y
_atom_site_fract_z
_atom_site_occupancy
Nd1 Nd 0.1294 0.2569 0.3497 1
Tm1 Tm 0.3534 0.7064 0.0663 1
Sn1 Sn 0.0000 0.0000 0.0000 1
Sn2 Sn 0.1937 0.3889 0.7239 1
```

Top 10 peaks for 10° ≤ 2θ ≤ 90°, by angle:
d = 8.524 Å, intensity 381
d = 3.883 Å, intensity 171
d = 3.115 Å, intensity 390
d = 2.857 Å, intensity 1000
d = 2.841 Å, intensity 236
d = 2.549 Å, intensity 203
d = 2.481 Å, intensity 694
d = 2.474 Å, intensity 276
d = 2.272 Å, intensity 353
d = 1.942 Å, intensity 206